This entry pairs a crystal structure of Pa9C2N14 with its computed powder XRD pattern. Radiation: Cu Kα, 1.54184 Å. Structure: a structure optimized by DFT (GGA-PBE).
Kinematic intensities with the Lorentz-polarization factor, no thermal factor.

Main lines, by angle (10 to 90 degrees two-theta):
2θ 28.31, intensity 100, hkl 2 -1 1
2θ 28.53, intensity 33, hkl 0 0 3
2θ 32.87, intensity 54, hkl 1 1 2
2θ 47.02, intensity 29, hkl 3 0 0
2θ 47.31, intensity 30, hkl 2 -1 4
2θ 55.80, intensity 15, hkl 2 2 1
2θ 55.92, intensity 30, hkl 0 3 3
2θ 56.18, intensity 15, hkl 1 1 5
2θ 58.56, intensity 11, hkl 4 -2 2
2θ 75.88, intensity 11, hkl 5 -1 1

Crystal structure
```
data_Pa9C2N14
_chemical_formula_sum 'Pa9 C2 N14'
_space_group_name_H-M_alt 'P -3'
_space_group_IT_number 147
_cell_length_a 6.6945
_cell_length_b 6.6945
_cell_length_c 9.3856
_cell_angle_alpha 90.00
_cell_angle_beta 90.00
_cell_angle_gamma 120.00
loop_
_space_group_symop_operation_xyz
'x,y,z'
'-x,-y,-z'
'-y,x-y,z'
'y,-x+y,-z'
'-x+y,-x,z'
'x-y,x,-z'
loop_
_atom_site_label
_atom_site_fract_x
_atom_site_fract_y
_atom_site_fract_z
Pa1 0.0000 0.0000 0.0000
Pa2 0.0179 0.3271 0.3394
Pa3 0.3333 0.6667 0.0097
C1 0.3333 0.6667 0.2597
N1 0.0000 0.0000 0.2559
N2 0.0184 0.6688 0.9066
N3 0.0352 0.3613 0.5936
```